# HfVO5
Simulated powder diffraction line list, Cu Kα (weighted mean of Kα1 and Kα2). Input: a structure optimized by DFT (GGA+U).

Atomic structure:
a = 12.377 Å, b = 5.778 Å, c = 7.286 Å
α = 90.00°, β = 90.00°, γ = 90.00°
Fractional positions:
1 Hf 0.063 0.250 0.163
2 Hf 0.437 0.750 0.663
3 Hf 0.563 0.250 0.337
4 Hf 0.937 0.750 0.837
5 V 0.153 0.750 0.469
6 V 0.347 0.250 0.969
7 V 0.653 0.750 0.031
8 V 0.847 0.250 0.531
9 O 0.000 0.000 0.000
10 O 0.000 0.500 0.000
11 O 0.072 0.750 0.664
12 O 0.125 0.507 0.341
13 O 0.125 0.993 0.341
14 O 0.211 0.250 0.032
15 O 0.289 0.750 0.532
16 O 0.375 0.007 0.841
17 O 0.375 0.493 0.841
18 O 0.428 0.250 0.164
19 O 0.500 0.000 0.500
20 O 0.500 0.500 0.500
21 O 0.572 0.750 0.836
22 O 0.625 0.507 0.159
23 O 0.625 0.993 0.159
24 O 0.711 0.250 0.468
25 O 0.789 0.750 0.968
26 O 0.875 0.007 0.659
27 O 0.875 0.493 0.659
28 O 0.928 0.250 0.336

Peak list (10 most intense, 2θ = 15–90°, in order of rising 2θ)
| 2theta | I (rel.) |
| --- | --- |
| 18.81 | 82 |
| 19.61 | 100 |
| 20.89 | 69 |
| 24.36 | 64 |
| 29.88 | 59 |
| 30.95 | 29 |
| 32.82 | 54 |
| 45.72 | 28 |
| 46.13 | 27 |
| 49.57 | 37 |

# HfVO5
Simulated powder diffraction line list, Cu Kα (weighted mean of Kα1 and Kα2). Input: a structure optimized by DFT (GGA+U).

Atomic structure:
a = 5.228 Å, b = 5.228 Å, c = 7.215 Å
α = 109.75°, β = 109.75°, γ = 71.48°
Fractional positions:
1 Hf 0.054 0.946 0.750
2 Hf 0.946 0.054 0.250
3 V 0.500 0.500 0.000
4 V 0.500 0.500 0.500
5 O 0.185 0.792 0.042
6 O 0.208 0.815 0.458
7 O 0.238 0.288 0.379
8 O 0.288 0.238 0.879
9 O 0.406 0.594 0.750
10 O 0.594 0.406 0.250
11 O 0.712 0.762 0.121
12 O 0.762 0.712 0.621
13 O 0.792 0.185 0.542
14 O 0.815 0.208 0.958

Peak list (10 most intense, 2θ = 15–90°, in order of rising 2θ)
| 2theta | I (rel.) |
| --- | --- |
| 18.53 | 62 |
| 19.93 | 17 |
| 23.05 | 100 |
| 28.74 | 99 |
| 29.25 | 37 |
| 37.00 | 25 |
| 37.32 | 25 |
| 37.56 | 18 |
| 47.11 | 22 |
| 56.38 | 25 |

# HfW2O8
Simulated powder diffraction line list, Cu Kα (weighted mean of Kα1 and Kα2). Input: a structure optimized by DFT (GGA+U).

Atomic structure:
a = 9.290 Å, b = 9.290 Å, c = 9.290 Å
α = 90.00°, β = 90.00°, γ = 90.00°
Fractional positions:
1 Hf 0.248 0.252 0.748
2 Hf 0.252 0.748 0.248
3 Hf 0.748 0.248 0.252
4 Hf 0.752 0.752 0.752
5 W 0.094 0.094 0.094
6 W 0.150 0.650 0.850
7 W 0.350 0.350 0.350
8 W 0.406 0.906 0.594
9 W 0.594 0.406 0.906
10 W 0.650 0.850 0.150
11 W 0.850 0.150 0.650
12 W 0.906 0.594 0.406
13 O 0.014 0.486 0.514
14 O 0.039 0.195 0.682
15 O 0.047 0.698 0.309
16 O 0.182 0.461 0.805
17 O 0.191 0.953 0.198
18 O 0.195 0.682 0.039
19 O 0.198 0.191 0.953
20 O 0.240 0.240 0.240
21 O 0.260 0.760 0.740
22 O 0.302 0.809 0.453
23 O 0.305 0.318 0.539
24 O 0.309 0.047 0.698
25 O 0.318 0.539 0.305
26 O 0.453 0.302 0.809
27 O 0.461 0.805 0.182
28 O 0.486 0.514 0.014
29 O 0.514 0.014 0.486
30 O 0.539 0.305 0.318
31 O 0.547 0.802 0.691
32 O 0.682 0.039 0.195
33 O 0.691 0.547 0.802
34 O 0.695 0.818 0.961
35 O 0.698 0.309 0.047
36 O 0.740 0.260 0.760
37 O 0.760 0.740 0.260
38 O 0.802 0.691 0.547
39 O 0.805 0.182 0.461
40 O 0.809 0.453 0.302
41 O 0.818 0.961 0.695
42 O 0.953 0.198 0.191
43 O 0.961 0.695 0.818
44 O 0.986 0.986 0.986

Peak list (10 most intense, 2θ = 15–90°, in order of rising 2θ)
| 2theta | I (rel.) |
| --- | --- |
| 19.11 | 32 |
| 21.39 | 100 |
| 23.46 | 78 |
| 27.15 | 41 |
| 31.95 | 62 |
| 34.82 | 20 |
| 36.18 | 33 |
| 47.98 | 25 |
| 51.09 | 40 |
| 56.00 | 19 |

- Which formula does entry 3 have?
  HfW2O8